Entry 1:
Ca12Be17O29: computed X-ray powder pattern (λ = 1.5418 Å (Cu Kα)), based on a PBE-relaxed structure.
Peak positions follow from Bragg's law for the DFT cell and can differ from measured ones.

Cell and atoms:
Lattice parameters (Å, degrees): 9.9594 9.9594 9.9594 60.00 60.00 60.00
Atoms (fractional coordinates):
1 Ca 0.0041 0.0041 0.4959
2 Ca 0.0041 0.4959 0.0041
3 Ca 0.0041 0.4959 0.4959
4 Ca 0.2066 0.2066 0.7934
5 Ca 0.2066 0.7934 0.2066
6 Ca 0.2066 0.7934 0.7934
7 Ca 0.4959 0.0041 0.0041
8 Ca 0.4959 0.0041 0.4959
9 Ca 0.4959 0.4959 0.0041
10 Ca 0.7934 0.2066 0.2066
11 Ca 0.7934 0.2066 0.7934
12 Ca 0.7934 0.7934 0.2066
13 Be 0.0000 0.0000 0.0000
14 Be 0.0282 0.6573 0.6573
15 Be 0.1378 0.1378 0.1378
16 Be 0.1378 0.1378 0.5866
17 Be 0.1378 0.5866 0.1378
18 Be 0.3413 0.3413 0.3413
19 Be 0.3413 0.3413 0.9761
20 Be 0.3413 0.9761 0.3413
21 Be 0.5227 0.8258 0.8258
22 Be 0.5866 0.1378 0.1378
23 Be 0.6573 0.0282 0.6573
24 Be 0.6573 0.6573 0.0282
25 Be 0.6573 0.6573 0.6573
26 Be 0.8258 0.5227 0.8258
27 Be 0.8258 0.8258 0.5227
28 Be 0.8258 0.8258 0.8258
29 Be 0.9761 0.3413 0.3413
30 O 0.0237 0.4779 0.7492
31 O 0.0237 0.7492 0.4779
32 O 0.0237 0.7492 0.7492
33 O 0.0691 0.0691 0.0691
34 O 0.0691 0.0691 0.7926
35 O 0.0691 0.7926 0.0691
36 O 0.2508 0.2508 0.5205
37 O 0.2508 0.2508 0.9779
38 O 0.2508 0.5205 0.2508
39 O 0.2508 0.5205 0.9779
40 O 0.2508 0.9779 0.2508
41 O 0.2508 0.9779 0.5205
42 O 0.4779 0.0237 0.7492
43 O 0.4779 0.7492 0.0237
44 O 0.4779 0.7492 0.7492
45 O 0.5205 0.2508 0.2508
46 O 0.5205 0.2508 0.9779
47 O 0.5205 0.9779 0.2508
48 O 0.7492 0.0237 0.4779
49 O 0.7492 0.0237 0.7492
50 O 0.7492 0.4779 0.0237
51 O 0.7492 0.4779 0.7492
52 O 0.7492 0.7492 0.0237
53 O 0.7492 0.7492 0.4779
54 O 0.7500 0.7500 0.7500
55 O 0.7926 0.0691 0.0691
56 O 0.9779 0.2508 0.2508
57 O 0.9779 0.2508 0.5205
58 O 0.9779 0.5205 0.2508

Main lines, sorted by position (2θ from 15° to 90°):
d_spacing	2theta	Rel. int.
4.980	17.8	42
3.521	25.3	58
3.231	27.6	22
3.149	28.3	25
2.875	31.1	39
2.711	33.0	33
2.490	36.1	71
2.347	38.3	68
2.033	44.6	100
1.972	46.0	30
1.761	51.9	39
1.660	55.3	39

---

Entry 2:
Tb2FeN: computed X-ray powder pattern (λ = 1.5418 Å (Cu Kα)), based on a PBE-relaxed structure.
Peak positions follow from Bragg's law for the DFT cell and can differ from measured ones.

Cell and atoms:
Lattice parameters (Å, degrees): 3.3534 3.3534 24.7507 90.00 90.00 120.00
Atoms (fractional coordinates):
1 Tb 0.0000 0.0000 0.1106
2 Tb 0.0000 0.0000 0.8894
3 Tb 0.3333 0.6667 0.5560
4 Tb 0.3333 0.6667 0.7773
5 Tb 0.6667 0.3333 0.2227
6 Tb 0.6667 0.3333 0.4440
7 Fe 0.0000 0.0000 0.0000
8 Fe 0.3333 0.6667 0.6667
9 Fe 0.6667 0.3333 0.3333
10 N 0.0000 0.0000 0.5000
11 N 0.3333 0.6667 0.1667
12 N 0.6667 0.3333 0.8333

Main lines, sorted by position (2θ from 15° to 90°):
d_spacing	2theta	Rel. int.
2.884	31.0	100
2.827	31.6	20
2.750	32.6	46
2.629	34.1	46
2.505	35.8	52
2.117	42.7	48
1.884	48.3	35
1.677	54.7	36
1.592	57.9	13
1.450	64.3	12
1.432	65.2	38
1.097	89.3	10

---

Entry 3:
Li2Ca3Zn3: computed X-ray powder pattern (λ = 1.5418 Å (Cu Kα)), based on a PBE-relaxed structure.
Peak positions follow from Bragg's law for the DFT cell and can differ from measured ones.

Cell and atoms:
Lattice parameters (Å, degrees): 6.0660 6.0660 15.1469 90.00 90.00 135.62
Atoms (fractional coordinates):
1 Li 0.2193 0.7807 0.5820
2 Li 0.2193 0.7807 0.9180
3 Li 0.7807 0.2193 0.0820
4 Li 0.7807 0.2193 0.4180
5 Ca 0.0812 0.9188 0.1129
6 Ca 0.0812 0.9188 0.3871
7 Ca 0.3692 0.6308 0.2500
8 Ca 0.6308 0.3692 0.7500
9 Ca 0.9188 0.0812 0.6129
10 Ca 0.9188 0.0812 0.8871
11 Zn 0.3385 0.6615 0.7500
12 Zn 0.3996 0.6004 0.0420
13 Zn 0.3996 0.6004 0.4580
14 Zn 0.6004 0.3996 0.5420
15 Zn 0.6004 0.3996 0.9580
16 Zn 0.6615 0.3385 0.2500

Main lines, sorted by position (2θ from 15° to 90°):
d_spacing	2theta	Rel. int.
4.511	19.7	24
4.243	20.9	40
3.248	27.5	50
2.900	30.8	31
2.848	31.4	35
2.825	31.7	100
2.808	31.9	35
2.514	35.7	47
2.302	39.1	23
2.291	39.3	44
2.019	44.9	27
1.515	61.2	26

---

Entry 4:
Pm2TeAsRh6: computed X-ray powder pattern (λ = 1.5418 Å (Cu Kα)), based on a PBE-relaxed structure.
Peak positions follow from Bragg's law for the DFT cell and can differ from measured ones.

Cell and atoms:
Lattice parameters (Å, degrees): 5.5261 8.6194 8.3884 90.00 90.00 90.00
Atoms (fractional coordinates):
1 Pm 0.2500 0.0116 0.2247
2 Pm 0.2500 0.4884 0.2247
3 Pm 0.7500 0.5116 0.7753
4 Pm 0.7500 0.9884 0.7753
5 Te 0.2500 0.2500 0.7635
6 Te 0.7500 0.7500 0.2365
7 As 0.2500 0.7500 0.7504
8 As 0.7500 0.2500 0.2496
9 Rh 0.0057 0.2500 0.4867
10 Rh 0.0065 0.7500 0.9871
11 Rh 0.2500 0.5005 0.5935
12 Rh 0.2500 0.9995 0.5935
13 Rh 0.4943 0.2500 0.4867
14 Rh 0.4935 0.7500 0.9871
15 Rh 0.5065 0.2500 0.0129
16 Rh 0.5057 0.7500 0.5133
17 Rh 0.7500 0.0005 0.4065
18 Rh 0.7500 0.4995 0.4065
19 Rh 0.9935 0.2500 0.0129
20 Rh 0.9943 0.7500 0.5133

Main lines, sorted by position (2θ from 15° to 90°):
d_spacing	2theta	Rel. int.
3.341	26.7	16
3.150	28.3	53
3.006	29.7	29
2.640	34.0	23
2.326	38.7	43
2.307	39.0	54
2.157	41.9	100
2.097	43.1	14
2.034	44.5	20
1.575	58.6	31
1.503	61.7	15
1.449	64.3	16

---

Entry 5:
AcZnCuSn2: computed X-ray powder pattern (λ = 1.5418 Å (Cu Kα)), based on a PBE-relaxed structure.
Peak positions follow from Bragg's law for the DFT cell and can differ from measured ones.

Cell and atoms:
Lattice parameters (Å, degrees): 4.6691 4.6691 11.1029 90.00 90.00 90.00
Atoms (fractional coordinates):
1 Ac 0.0000 0.0000 0.0000
2 Ac 0.5000 0.5000 0.5000
3 Zn 0.0000 0.5000 0.2500
4 Zn 0.5000 0.0000 0.7500
5 Cu 0.0000 0.5000 0.7500
6 Cu 0.5000 0.0000 0.2500
7 Sn 0.0000 0.0000 0.3702
8 Sn 0.0000 0.0000 0.6298
9 Sn 0.5000 0.5000 0.1298
10 Sn 0.5000 0.5000 0.8702

Main lines, sorted by position (2θ from 15° to 90°):
d_spacing	2theta	Rel. int.
3.302	27.0	43
2.900	30.8	100
2.838	31.5	69
2.335	38.6	61
2.005	45.2	29
1.819	50.2	53
1.651	55.7	21
1.614	57.1	17
1.521	60.9	24
1.427	65.4	17
1.222	78.2	15
1.193	80.5	15

---

Entry 6:
Pm3Ho2Hg6: computed X-ray powder pattern (λ = 1.5418 Å (Cu Kα)), based on a PBE-relaxed structure.
Peak positions follow from Bragg's law for the DFT cell and can differ from measured ones.

Cell and atoms:
Lattice parameters (Å, degrees): 13.8265 13.8265 13.8265 158.51 158.51 30.57
Atoms (fractional coordinates):
1 Pm 0.0000 0.0000 0.0000
2 Pm 0.1465 0.1465 0.0000
3 Pm 0.8535 0.8535 0.0000
4 Ho 0.3781 0.3781 0.0000
5 Ho 0.6219 0.6219 0.0000
6 Hg 0.0663 0.5663 0.5000
7 Hg 0.2646 0.2646 0.0000
8 Hg 0.4337 0.9337 0.5000
9 Hg 0.5663 0.0663 0.5000
10 Hg 0.7354 0.7354 0.0000
11 Hg 0.9337 0.4337 0.5000

Main lines, sorted by position (2θ from 15° to 90°):
d_spacing	2theta	Rel. int.
4.450	20.0	23
3.516	25.3	64
3.064	29.1	15
2.819	31.7	20
2.577	34.8	77
2.460	36.5	100
2.230	40.5	14
1.822	50.1	36
1.618	56.9	14
1.531	60.4	15
1.464	63.5	41
1.152	84.0	15